This entry pairs a crystal structure of MnCoHg with its computed powder diffractogram. Radiation: a wavelength of 1.5418 Å. Structure: a PBE-relaxed structure.
Intensities are scaled so that the largest is 100.

Main lines, most intense first (2θ = 10–80°):
d/Å	Position (°2θ)	Rel. int.	(hkl)
2.136	42.3	100.0	1 0 3
2.581	34.8	82.2	0 1 2
2.954	30.3	75.6	1 0 -1
2.086	43.4	74.6	1 1 0
2.272	39.7	55.7	0 1 3
2.011	45.1	45.4	1 1 1
2.677	33.5	43.7	0 0 4
1.882	48.4	38.7	1 1 -3
1.213	79.0	35.8	1 2 3
3.570	24.9	34.5	0 0 3

Cell and atoms:
```
MnCoHg
1.0
2.982 0.000 0.000
0.000 2.945 0.000
-1.489 0.000 10.710
Mn Co Hg
2 2 2
Direct
0.000 0.000 0.000 Mn
0.127 0.000 0.257 Mn
0.443 0.500 0.885 Co
0.563 0.500 0.124 Co
0.722 0.500 0.451 Hg
0.857 0.000 0.712 Hg
```